The following is a calculated powder diffraction line list of SbTe2AsH. It was derived from a PBE-relaxed structure, using Cu Kα, 1.54184 Å.
Neutral-atom scattering factors, no anomalous dispersion.

abc: 5.3457 5.3457 3.8394
angles: 90.00 90.00 90.00
Element x y z (fractional)
1 Sb 0.0000 0.0000 0.0000
2 Te 0.0000 0.5000 0.5000
3 Te 0.5000 0.0000 0.5000
4 As 0.5000 0.5000 0.0000
5 H 0.0000 0.0000 0.5000

Top 10 peaks for 2θ = 5–70°, low angle first:
- 2θ 16.58, intensity 3
- 2θ 23.54, intensity 1
- 2θ 28.63, intensity 1
- 2θ 33.26, intensity 100
- 2θ 33.53, intensity 50
- 2θ 47.35, intensity 9
- 2θ 48.15, intensity 18
- 2θ 59.26, intensity 19
- 2θ 59.77, intensity 36
- 2θ 69.84, intensity 11

***

The following is a calculated powder diffraction line list of Sc5As2H. It was derived from a PBE-relaxed structure, using Cu Kα, 1.54184 Å.
Neutral-atom scattering factors, no anomalous dispersion.

abc: 7.8629 7.0795 5.0277
angles: 79.01 62.11 38.88
Element x y z (fractional)
1 Sc 0.0000 0.0000 0.0000
2 Sc 0.1993 0.5410 0.4590
3 Sc 0.4590 0.8007 0.1993
4 Sc 0.5410 0.1993 0.8007
5 Sc 0.8007 0.4590 0.5410
6 As 0.1912 0.1912 0.8088
7 As 0.8088 0.8088 0.1912
8 H 0.5000 0.5000 0.5000

Top 10 peaks for 2θ = 5–70°, low angle first:
- 2θ 13.45, intensity 35
- 2θ 20.65, intensity 23
- 2θ 34.31, intensity 30
- 2θ 34.43, intensity 87
- 2θ 36.42, intensity 100
- 2θ 39.76, intensity 93
- 2θ 41.42, intensity 76
- 2θ 49.40, intensity 19
- 2θ 65.27, intensity 20
- 2θ 67.48, intensity 20

***

The following is a calculated powder diffraction line list of Sc4AsH. It was derived from a PBE-relaxed structure, using Cu Kα, 1.54184 Å.
Neutral-atom scattering factors, no anomalous dispersion.

abc: 6.8528 6.8528 6.8528
angles: 104.55 104.55 119.83
Element x y z (fractional)
1 Sc 0.2203 0.2764 0.5561
2 Sc 0.2203 0.6642 0.9439
3 Sc 0.2764 0.2203 0.0561
4 Sc 0.3358 0.7797 0.5561
5 Sc 0.6642 0.2203 0.4439
6 Sc 0.7236 0.7797 0.9439
7 Sc 0.7797 0.3358 0.0561
8 Sc 0.7797 0.7236 0.4439
9 As 0.1250 0.8750 0.2500
10 As 0.8750 0.1250 0.7500
11 H 0.3750 0.6250 0.7500
12 H 0.6250 0.3750 0.2500

Top 10 peaks for 2θ = 5–70°, low angle first:
- 2θ 16.68, intensity 40
- 2θ 21.19, intensity 78
- 2θ 30.09, intensity 31
- 2θ 33.73, intensity 100
- 2θ 34.64, intensity 93
- 2θ 40.85, intensity 43
- 2θ 40.97, intensity 73
- 2θ 43.12, intensity 79
- 2θ 56.47, intensity 38
- 2θ 62.49, intensity 22

***

The following is a calculated powder diffraction line list of Sr3Zn2As2H4. It was derived from a PBE-relaxed structure, using Cu Kα, 1.54184 Å.
Neutral-atom scattering factors, no anomalous dispersion.

abc: 12.4589 12.4589 12.4589
angles: 160.36 160.36 27.92
Element x y z (fractional)
1 Sr 0.0000 0.0000 0.0000
2 Sr 0.1872 0.1872 0.0000
3 Sr 0.8128 0.8128 0.0000
4 Zn 0.4184 0.4184 0.0000
5 Zn 0.5816 0.5816 0.0000
6 As 0.3186 0.3186 0.0000
7 As 0.6814 0.6814 0.0000
8 H 0.0586 0.5586 0.5000
9 H 0.4414 0.9414 0.5000
10 H 0.5586 0.0586 0.5000
11 H 0.9414 0.4414 0.5000

Top 10 peaks for 2θ = 5–70°, low angle first:
- 2θ 22.06, intensity 14
- 2θ 27.95, intensity 44
- 2θ 29.55, intensity 17
- 2θ 29.73, intensity 100
- 2θ 33.43, intensity 14
- 2θ 37.32, intensity 15
- 2θ 42.41, intensity 24
- 2θ 42.54, intensity 39
- 2θ 48.31, intensity 18
- 2θ 51.67, intensity 16

***

The following is a calculated powder diffraction line list of TeAs3H. It was derived from a PBE-relaxed structure, using Cu Kα, 1.54184 Å.
Neutral-atom scattering factors, no anomalous dispersion.

abc: 4.4550 4.4550 4.4550
angles: 90.00 90.00 90.00
Element x y z (fractional)
1 Te 0.0000 0.0000 0.0000
2 As 0.0000 0.5000 0.5000
3 As 0.5000 0.0000 0.5000
4 As 0.5000 0.5000 0.0000
5 H 0.5000 0.5000 0.5000

Top 9 peaks for 2θ = 5–70°, low angle first:
- 2θ 19.93, intensity 5
- 2θ 28.33, intensity 5
- 2θ 34.88, intensity 100
- 2θ 40.50, intensity 50
- 2θ 45.53, intensity 2
- 2θ 50.16, intensity 2
- 2θ 58.61, intensity 33
- 2θ 62.55, intensity 1
- 2θ 66.35, intensity 1

***

The following is a calculated powder diffraction line list of TeAs2H2. It was derived from a PBE-relaxed structure, using Cu Kα, 1.54184 Å.
Neutral-atom scattering factors, no anomalous dispersion.

abc: 3.4892 5.3852 6.1773
angles: 76.55 79.64 83.28
Element x y z (fractional)
1 Te 0.0000 0.0000 0.0000
2 As 0.2697 0.6048 0.3645
3 As 0.7303 0.3952 0.6355
4 H 0.3467 0.3846 0.2366
5 H 0.6533 0.6154 0.7634

Top 10 peaks for 2θ = 5–70°, low angle first:
- 2θ 20.07, intensity 100
- 2θ 25.04, intensity 14
- 2θ 30.09, intensity 31
- 2θ 32.20, intensity 26
- 2θ 35.66, intensity 24
- 2θ 36.83, intensity 22
- 2θ 38.00, intensity 14
- 2θ 40.80, intensity 15
- 2θ 45.32, intensity 12
- 2θ 48.72, intensity 13

***

The following is a calculated powder diffraction line list of Te2AsH4. It was derived from a PBE-relaxed structure, using Cu Kα, 1.54184 Å.
Neutral-atom scattering factors, no anomalous dispersion.

abc: 7.4842 7.4842 7.4842
angles: 148.26 148.26 45.51
Element x y z (fractional)
1 Te 0.2255 0.2255 0.0000
2 Te 0.7745 0.7745 0.0000
3 As 0.5000 0.5000 0.0000
4 H 0.0000 0.5000 0.5000
5 H 0.3790 0.3790 0.0000
6 H 0.5000 0.0000 0.5000
7 H 0.6210 0.6210 0.0000

Top 10 peaks for 2θ = 5–70°, low angle first:
- 2θ 12.83, intensity 90
- 2θ 25.82, intensity 59
- 2θ 29.20, intensity 76
- 2θ 30.89, intensity 100
- 2θ 33.57, intensity 39
- 2θ 40.68, intensity 67
- 2θ 44.25, intensity 38
- 2θ 51.44, intensity 39
- 2θ 51.94, intensity 34
- 2θ 53.90, intensity 27

***

The following is a calculated powder diffraction line list of Th2AsH4. It was derived from a PBE-relaxed structure, using Cu Kα, 1.54184 Å.
Neutral-atom scattering factors, no anomalous dispersion.

abc: 7.7021 7.7021 7.7021
angles: 29.80 29.80 29.80
Element x y z (fractional)
1 Th 0.2439 0.2439 0.2439
2 Th 0.7561 0.7561 0.7561
3 As 0.0000 0.0000 0.0000
4 H 0.1348 0.1348 0.1348
5 H 0.4277 0.4277 0.4277
6 H 0.5723 0.5723 0.5723
7 H 0.8652 0.8652 0.8652

Top 10 peaks for 2θ = 5–70°, low angle first:
- 2θ 24.20, intensity 29
- 2θ 27.23, intensity 68
- 2θ 30.69, intensity 100
- 2θ 42.04, intensity 41
- 2θ 45.82, intensity 36
- 2θ 49.09, intensity 12
- 2θ 52.48, intensity 23
- 2θ 56.16, intensity 19
- 2θ 63.92, intensity 12
- 2θ 69.80, intensity 17